This entry pairs a crystal structure of La5Co2Bi with its calculated powder diffractogram. Radiation: Cu Kα (λ = 1.5418 Å). Structure: a PBE-relaxed structure.
Kinematic intensities with the Lorentz-polarization factor, no thermal factor.

Structure:
```
data_La5Co2Bi
_cell_length_a 8.044
_cell_length_b 8.044
_cell_length_c 14.052
_cell_angle_alpha 90.00
_cell_angle_beta 90.00
_cell_angle_gamma 90.00
_space_group_name_H-M_alt 'I 4/m c m'
_space_group_IT_number 140
_space_group_name_Hall '-I 4 2c'
loop_
_atom_site_label
_atom_site_type_symbol
_atom_site_fract_x
_atom_site_fract_y
_atom_site_fract_z
_atom_site_occupancy
La1 La 0.000 0.000 0.000 1
La2 La 0.156 0.344 0.130 1
Co1 Co 0.145 0.355 0.500 1
Bi1 Bi 0.000 0.000 0.250 1
```

Most intense lines, 2θ from 10° to 80°, most intense first:
2θ/deg, I/Imax
35.29, 100
31.35, 96
29.89, 66
33.88, 59
40.76, 40
25.56, 36
64.47, 33
55.04, 32
50.73, 31
52.43, 26

This entry pairs a crystal structure of La4CoBi with its calculated powder diffractogram. Radiation: Cu Kα (λ = 1.5418 Å). Structure: a PBE-relaxed structure.
Kinematic intensities with the Lorentz-polarization factor, no thermal factor.

Structure:
```
data_La4CoBi
_cell_length_a 17.133
_cell_length_b 7.178
_cell_length_c 6.336
_cell_angle_alpha 90.00
_cell_angle_beta 107.60
_cell_angle_gamma 90.00
_space_group_name_H-M_alt 'C 1 2/m 1'
_space_group_IT_number 12
loop_
_space_group_symop_operation_xyz
'x,y,z'
'-x,-y,-z'
'-x,y,-z'
'x,-y,z'
'x+1/2,y+1/2,z'
'-x+1/2,-y+1/2,-z'
'-x+1/2,y+1/2,-z'
'x+1/2,-y+1/2,z'
loop_
_atom_site_label
_atom_site_type_symbol
_atom_site_fract_x
_atom_site_fract_y
_atom_site_fract_z
_atom_site_occupancy
La1 La 0.000 0.246 0.000 1
La2 La 0.116 0.249 0.600 1
La3 La 0.197 0.500 0.184 1
Co1 Co 0.033 0.500 0.339 1
Bi1 Bi 0.194 0.000 0.208 1
```

Most intense lines, 2θ from 10° to 80°, most intense first:
2θ/deg, I/Imax
32.57, 100
28.24, 93
33.60, 87
31.72, 83
29.90, 74
27.14, 60
38.98, 45
51.50, 37
50.89, 28
40.15, 27

This entry pairs a crystal structure of La12Co5Bi with its calculated powder diffractogram. Radiation: Cu Kα (λ = 1.5418 Å). Structure: a PBE-relaxed structure.
Kinematic intensities with the Lorentz-polarization factor, no thermal factor.

Structure:
```
data_La12Co5Bi
_cell_length_a 9.800
_cell_length_b 10.106
_cell_length_c 10.419
_cell_angle_alpha 90.00
_cell_angle_beta 90.00
_cell_angle_gamma 90.00
_space_group_name_H-M_alt 'I m m m'
_space_group_IT_number 71
_space_group_name_Hall '-I 2 2'
loop_
_atom_site_label
_atom_site_type_symbol
_atom_site_fract_x
_atom_site_fract_y
_atom_site_fract_z
_atom_site_occupancy
La1 La 0.000 0.185 0.189 1
La2 La 0.184 0.500 0.173 1
La3 La 0.188 0.323 0.500 1
Co1 Co 0.000 0.000 0.000 1
Co2 Co 0.000 0.360 0.000 1
Co3 Co 0.000 0.500 0.369 1
Bi1 Bi 0.000 0.000 0.500 1
```

Most intense lines, 2θ from 10° to 80°, most intense first:
2θ/deg, I/Imax
32.96, 100
32.83, 95
30.67, 93
28.71, 71
33.79, 69
27.83, 56
27.23, 54
57.18, 41
55.87, 32
46.24, 28

What is the formula in the second record? La4CoBi

Repeat the second record exactly.
This entry pairs a crystal structure of La4CoBi with its calculated powder diffractogram. Radiation: Cu Kα (λ = 1.5418 Å). Structure: a PBE-relaxed structure.
Kinematic intensities with the Lorentz-polarization factor, no thermal factor.

Structure:
```
data_La4CoBi
_cell_length_a 17.133
_cell_length_b 7.178
_cell_length_c 6.336
_cell_angle_alpha 90.00
_cell_angle_beta 107.60
_cell_angle_gamma 90.00
_space_group_name_H-M_alt 'C 1 2/m 1'
_space_group_IT_number 12
loop_
_space_group_symop_operation_xyz
'x,y,z'
'-x,-y,-z'
'-x,y,-z'
'x,-y,z'
'x+1/2,y+1/2,z'
'-x+1/2,-y+1/2,-z'
'-x+1/2,y+1/2,-z'
'x+1/2,-y+1/2,z'
loop_
_atom_site_label
_atom_site_type_symbol
_atom_site_fract_x
_atom_site_fract_y
_atom_site_fract_z
_atom_site_occupancy
La1 La 0.000 0.246 0.000 1
La2 La 0.116 0.249 0.600 1
La3 La 0.197 0.500 0.184 1
Co1 Co 0.033 0.500 0.339 1
Bi1 Bi 0.194 0.000 0.208 1
```

Most intense lines, 2θ from 10° to 80°, most intense first:
2θ/deg, I/Imax
32.57, 100
28.24, 93
33.60, 87
31.72, 83
29.90, 74
27.14, 60
38.98, 45
51.50, 37
50.89, 28
40.15, 27